(1)
SmDyTlAg: calculated powder XRD pattern (Cu Kα X-rays), based on a crystal structure in Alexandria, relaxed with GGA-PBE.
No peak broadening, texture or thermal motion is included.

Peak list (6 most intense, 10° ≤ 2θ ≤ 90°, by angle)
d [Å]	I (rel.)
2.679	100
2.602	49
1.840	20
1.562	18
1.517	35
1.340	11

Cell and atoms:
Lattice parameters (Å, degrees): 3.6801 3.6801 7.8151 90.00 90.00 90.00
Fractional positions:
Sm: 0.0000 0.0000 0.0000
Dy: 0.0000 0.0000 0.5301
Tl: 0.5000 0.5000 0.2700
Ag: 0.5000 0.5000 0.7490

***

(2)
CrNi23Pt6: calculated powder XRD pattern (Cu Kα X-rays), based on a crystal structure in Alexandria, relaxed with GGA-PBE.
No peak broadening, texture or thermal motion is included.

Peak list (6 most intense, 10° ≤ 2θ ≤ 90°, by angle)
d [Å]	I (rel.)
3.278	21
2.839	16
2.539	17
2.185	27
2.007	100
1.159	21

Cell and atoms:
Lattice parameters (Å, degrees): 8.0295 8.0295 8.0295 60.00 60.00 60.00
Fractional positions:
Cr: 0.0000 0.0000 0.0000
Ni: 0.0000 0.0000 0.5000
Ni: 0.0000 0.5000 0.0000
Ni: 0.0000 0.5000 0.5000
Ni: 0.1301 0.6233 0.6233
Ni: 0.1620 0.1620 0.1620
Ni: 0.1620 0.1620 0.5141
Ni: 0.1620 0.5141 0.1620
Ni: 0.3767 0.3767 0.3767
Ni: 0.3767 0.3767 0.8699
Ni: 0.3767 0.8699 0.3767
Ni: 0.4859 0.8380 0.8380
Ni: 0.5000 0.0000 0.0000
Ni: 0.5000 0.0000 0.5000
Ni: 0.5000 0.5000 0.0000
Ni: 0.5000 0.5000 0.5000
Ni: 0.5141 0.1620 0.1620
Ni: 0.6233 0.1301 0.6233
Ni: 0.6233 0.6233 0.1301
Ni: 0.6233 0.6233 0.6233
Ni: 0.8380 0.4859 0.8380
Ni: 0.8380 0.8380 0.4859
Ni: 0.8380 0.8380 0.8380
Ni: 0.8699 0.3767 0.3767
Pt: 0.2292 0.2292 0.7708
Pt: 0.2292 0.7708 0.2292
Pt: 0.2292 0.7708 0.7708
Pt: 0.7708 0.2292 0.2292
Pt: 0.7708 0.2292 0.7708
Pt: 0.7708 0.7708 0.2292

***

(3)
CePaSO2: calculated powder XRD pattern (Cu Kα X-rays), based on a crystal structure in Alexandria, relaxed with GGA-PBE.
No peak broadening, texture or thermal motion is included.

Peak list (6 most intense, 10° ≤ 2θ ≤ 90°, by angle)
d [Å]	I (rel.)
3.641	68
2.782	100
2.698	48
2.020	37
1.907	24
1.573	36

Cell and atoms:
Lattice parameters (Å, degrees): 3.8149 3.8149 12.1974 90.00 90.00 90.00
Fractional positions:
Ce: 0.0000 0.0000 0.0000
Ce: 0.5000 0.5000 0.5000
Pa: 0.0000 0.0000 0.2800
Pa: 0.5000 0.5000 0.7800
S: 0.0000 0.0000 0.6444
S: 0.5000 0.5000 0.1444
O: 0.0000 0.5000 0.3833
O: 0.0000 0.5000 0.8833
O: 0.5000 0.0000 0.3833
O: 0.5000 0.0000 0.8833